Calculated XRD peak list
Compound: Mo2POsBr
Radiation: Cu Ka
Structure: a DFT-relaxed cell (PBE, Alexandria)

Main lines, low angle first (15 to 90 degrees two-theta):
Position (°2θ)	I/Imax	(hkl)
27.58	96	1 0 1
33.97	100	1 1 1
39.30	37	0 0 2
39.49	73	2 0 0
48.84	38	2 1 1
56.93	50	2 0 2

Cell and atoms:
a = 4.5641 Å, b = 4.5641 Å, c = 4.5850 Å
α = 90.00°, β = 90.00°, γ = 90.00°
Space group P4/mmm (No. 123)
Asymmetric unit:
Mo 0.0000 0.5000 0.0000
P 0.0000 0.0000 0.5000
Os 0.5000 0.5000 0.5000
Br 0.0000 0.0000 0.0000